The following is a computed X-ray powder pattern of Mg2Sb. It was derived from a cell relaxed with PBE, using λ = 1.5418 Å (Cu Kα).

Most intense lines, 10 to 80 degrees two-theta, by angle:
(hkl), Position (°2θ), I_rel
2 0 -1, 17.5, 100
2 0 1, 20.9, 62
0 0 2, 24.4, 34
1 1 0, 27.9, 31
4 0 0, 30.0, 49
1 1 1, 31.1, 71
3 1 0, 35.3, 77
4 0 -2, 35.4, 53
1 1 -2, 36.5, 85
0 0 3, 37.0, 35

```
data_Mg2Sb
_cell_length_a 12.0978
_cell_length_b 3.3137
_cell_length_c 7.4072
_cell_angle_alpha 90.00
_cell_angle_beta 100.17
_cell_angle_gamma 90.00
_space_group_name_H-M_alt 'C 1 m 1'
_space_group_IT_number 8
loop_
_space_group_symop_operation_xyz
'x,y,z'
'x,-y,z'
'x+1/2,y+1/2,z'
'x+1/2,-y+1/2,z'
loop_
_atom_site_label
_atom_site_fract_x
_atom_site_fract_y
_atom_site_fract_z
_atom_site_occupancy
Mg1 0.0000 0.0000 0.0000 1
Mg2 0.0717 0.0000 0.6120 1
Mg3 0.1965 0.5000 0.3260 1
Mg4 0.3459 0.0000 0.6714 1
Sb1 0.2086 0.5000 0.9184 1
Sb2 0.4324 0.0000 0.3106 1
```

The following is a computed X-ray powder pattern of Mg2Sb. It was derived from a cell relaxed with PBE, using λ = 1.5418 Å (Cu Kα).

Most intense lines, 10 to 80 degrees two-theta, by angle:
(hkl), Position (°2θ), I_rel
2 0 0, 16.5, 39
2 0 -2, 24.5, 55
2 0 1, 24.8, 36
1 1 -1, 27.3, 70
4 0 -1, 30.4, 100
4 0 -2, 33.0, 33
1 1 -2, 34.3, 38
3 1 0, 35.1, 93
0 0 3, 39.3, 68
3 1 -3, 44.9, 37

```
data_Mg2Sb
_cell_length_a 11.7470
_cell_length_b 3.6564
_cell_length_c 7.5081
_cell_angle_alpha 90.00
_cell_angle_beta 113.78
_cell_angle_gamma 90.00
_space_group_name_H-M_alt 'C 1 2/m 1'
_space_group_IT_number 12
loop_
_space_group_symop_operation_xyz
'x,y,z'
'-x,-y,-z'
'-x,y,-z'
'x,-y,z'
'x+1/2,y+1/2,z'
'-x+1/2,-y+1/2,-z'
'-x+1/2,y+1/2,-z'
'x+1/2,-y+1/2,z'
loop_
_atom_site_label
_atom_site_fract_x
_atom_site_fract_y
_atom_site_fract_z
_atom_site_occupancy
Mg1 0.0516 0.0000 0.3231 1
Mg2 0.1345 0.5000 0.0374 1
Sb1 0.1769 0.5000 0.6793 1
```

The following is a computed X-ray powder pattern of MgSb. It was derived from a cell relaxed with PBE, using λ = 1.5418 Å (Cu Kα).

Most intense lines, 10 to 80 degrees two-theta, by angle:
(hkl), Position (°2θ), I_rel
0 0 2, 10.7, 29
1 0 2, 19.9, 20
0 0 4, 21.5, 49
0 1 3, 30.0, 34
1 1 1, 30.9, 46
2 0 0, 33.9, 41
1 1 3, 34.6, 100
1 0 6, 36.8, 38
2 0 4, 40.5, 19
2 1 3, 45.9, 21

```
data_MgSb
_cell_length_a 5.2873
_cell_length_b 3.5399
_cell_length_c 16.5347
_cell_angle_alpha 90.00
_cell_angle_beta 90.00
_cell_angle_gamma 90.00
_space_group_name_H-M_alt 'A m m 2'
_space_group_IT_number 38
loop_
_space_group_symop_operation_xyz
'x,y,z'
'-x,-y,z'
'-x,y,z'
'x,-y,z'
'x,y+1/2,z+1/2'
'-x,-y+1/2,z+1/2'
'-x,y+1/2,z+1/2'
'x,-y+1/2,z+1/2'
loop_
_atom_site_label
_atom_site_fract_x
_atom_site_fract_y
_atom_site_fract_z
_atom_site_occupancy
Mg1 0.0000 0.0000 0.0000 1
Mg2 0.0000 0.0000 0.3246 1
Mg3 0.5000 0.0000 0.7637 1
Sb1 0.0000 0.0000 0.6603 1
Sb2 0.5000 0.0000 0.1204 1
Sb3 0.5000 0.0000 0.4101 1
```

The following is a computed X-ray powder pattern of MgSb. It was derived from a cell relaxed with PBE, using λ = 1.5418 Å (Cu Kα).

Most intense lines, 10 to 80 degrees two-theta, by angle:
(hkl), Position (°2θ), I_rel
1 1 -1, 23.7, 58
1 1 1, 24.1, 44
2 0 1, 24.9, 19
0 0 2, 31.1, 62
0 2 0, 31.3, 41
3 1 0, 32.6, 100
0 2 1, 35.1, 31
0 2 2, 44.7, 30
3 1 -2, 44.9, 40
3 1 2, 46.5, 36

```
data_MgSb
_cell_length_a 9.3893
_cell_length_b 5.7161
_cell_length_c 5.7544
_cell_angle_alpha 90.00
_cell_angle_beta 92.14
_cell_angle_gamma 90.00
_space_group_name_H-M_alt 'C 1 2 1'
_space_group_IT_number 5
loop_
_space_group_symop_operation_xyz
'x,y,z'
'-x,y,-z'
'x+1/2,y+1/2,z'
'-x+1/2,y+1/2,-z'
loop_
_atom_site_label
_atom_site_fract_x
_atom_site_fract_y
_atom_site_fract_z
_atom_site_occupancy
Mg1 0.0000 0.0000 0.0000 1
Mg2 0.1768 0.6575 0.5172 1
Sb1 0.0000 0.0907 0.5000 1
Sb2 0.1611 0.5159 0.0120 1
```

The following is a computed X-ray powder pattern of Mg2Sb. It was derived from a cell relaxed with PBE, using λ = 1.5418 Å (Cu Kα).

Most intense lines, 10 to 80 degrees two-theta, by angle:
(hkl), Position (°2θ), I_rel
0 1 1, 16.5, 61
1 0 1, 23.2, 25
0 1 3, 26.2, 43
1 1 0, 26.7, 48
0 2 0, 30.0, 29
1 0 3, 31.0, 100
1 2 1, 38.2, 49
1 1 4, 39.7, 31
0 2 4, 42.1, 28
1 2 3, 43.6, 36

```
data_Mg2Sb
_cell_length_a 4.0352
_cell_length_b 5.9629
_cell_length_c 12.3974
_cell_angle_alpha 90.00
_cell_angle_beta 90.00
_cell_angle_gamma 90.00
_space_group_name_H-M_alt 'I m m m'
_space_group_IT_number 71
_space_group_name_Hall '-I 2 2'
loop_
_atom_site_label
_atom_site_fract_x
_atom_site_fract_y
_atom_site_fract_z
_atom_site_occupancy
Mg1 0.0000 0.0000 0.1750 1
Mg2 0.0000 0.2479 0.5000 1
Sb1 0.0000 0.5000 0.1491 1
```

The following is a computed X-ray powder pattern of Mg2Sb. It was derived from a cell relaxed with PBE, using λ = 1.5418 Å (Cu Kα).

Most intense lines, 10 to 80 degrees two-theta, by angle:
(hkl), Position (°2θ), I_rel
1 1 0, 19.9, 62
1 1 -1, 20.4, 78
2 0 0, 24.2, 41
2 0 -2, 25.9, 37
3 1 -1, 33.0, 64
0 0 2, 33.6, 62
3 1 -2, 34.0, 62
0 2 1, 36.2, 100
3 1 0, 40.2, 38
3 1 -3, 42.6, 31

```
data_Mg2Sb
_cell_length_a 9.5430
_cell_length_b 5.6105
_cell_length_c 6.9204
_cell_angle_alpha 90.00
_cell_angle_beta 129.64
_cell_angle_gamma 90.00
_space_group_name_H-M_alt 'C 1 2/c 1'
_space_group_IT_number 15
loop_
_space_group_symop_operation_xyz
'x,y,z'
'-x,-y,-z'
'-x,y,-z+1/2'
'x,-y,z+1/2'
'x+1/2,y+1/2,z'
'-x+1/2,-y+1/2,-z'
'-x+1/2,y+1/2,-z+1/2'
'x+1/2,-y+1/2,z+1/2'
loop_
_atom_site_label
_atom_site_fract_x
_atom_site_fract_y
_atom_site_fract_z
_atom_site_occupancy
Mg1 0.1726 0.1051 0.2559 1
Sb1 0.0000 0.3686 0.7500 1
```

The following is a computed X-ray powder pattern of MgSb. It was derived from a cell relaxed with PBE, using λ = 1.5418 Å (Cu Kα).

Most intense lines, 10 to 80 degrees two-theta, by angle:
(hkl), Position (°2θ), I_rel
1 1 1, 25.9, 81
2 0 0, 30.0, 100
2 2 0, 43.0, 74
3 1 1, 50.9, 38
2 2 2, 53.3, 26
4 0 0, 62.4, 12
3 3 1, 68.7, 15
4 2 0, 70.8, 32
4 2 2, 78.8, 24

```
data_MgSb
_cell_length_a 5.9518
_cell_length_b 5.9518
_cell_length_c 5.9518
_cell_angle_alpha 90.00
_cell_angle_beta 90.00
_cell_angle_gamma 90.00
_space_group_name_H-M_alt 'F m -3 m'
_space_group_IT_number 225
_space_group_name_Hall '-F 4 2 3'
loop_
_atom_site_label
_atom_site_fract_x
_atom_site_fract_y
_atom_site_fract_z
_atom_site_occupancy
Mg1 0.0000 0.0000 0.0000 1
Sb1 0.0000 0.0000 0.5000 1
```

The following is a computed X-ray powder pattern of Mg2Sb. It was derived from a cell relaxed with PBE, using λ = 1.5418 Å (Cu Kα).

Most intense lines, 10 to 80 degrees two-theta, by angle:
(hkl), Position (°2θ), I_rel
2 0 0, 19.3, 47
1 1 1, 24.5, 92
0 2 0, 30.9, 29
0 0 2, 33.0, 46
0 2 1, 35.2, 22
2 2 0, 36.7, 14
3 1 1, 37.0, 100
2 0 2, 38.5, 16
0 2 2, 45.8, 19
3 1 3, 61.6, 22

```
data_Mg2Sb
_cell_length_a 9.2127
_cell_length_b 5.7838
_cell_length_c 5.4340
_cell_angle_alpha 90.00
_cell_angle_beta 90.00
_cell_angle_gamma 90.00
_space_group_name_H-M_alt 'C m c m'
_space_group_IT_number 63
_space_group_name_Hall '-C 2c 2'
loop_
_atom_site_label
_atom_site_fract_x
_atom_site_fract_y
_atom_site_fract_z
_atom_site_occupancy
Mg1 0.1620 0.1859 0.2500 1
Sb1 0.0000 0.2948 0.7500 1
```

The following is a computed X-ray powder pattern of MgSiSb2. It was derived from a cell relaxed with PBE, using λ = 1.5418 Å (Cu Kα).

Most intense lines, 10 to 80 degrees two-theta, by angle:
(hkl), Position (°2θ), I_rel
1 1 2, 24.6, 100
2 0 0, 27.7, 20
0 0 4, 29.9, 9
2 2 0, 39.6, 18
2 0 4, 41.2, 35
3 1 2, 47.1, 30
1 1 6, 50.0, 14
2 2 4, 50.4, 7
3 1 6, 65.6, 11
4 2 4, 72.9, 10

```
data_MgSiSb2
_cell_length_a 6.4444
_cell_length_b 6.4444
_cell_length_c 11.9432
_cell_angle_alpha 90.00
_cell_angle_beta 90.00
_cell_angle_gamma 90.00
_space_group_name_H-M_alt 'I -4 2 d'
_space_group_IT_number 122
_space_group_name_Hall 'I -4 2bw'
loop_
_atom_site_label
_atom_site_fract_x
_atom_site_fract_y
_atom_site_fract_z
_atom_site_occupancy
Mg1 0.0000 0.0000 0.0000 1
Si1 0.0000 0.0000 0.5000 1
Sb1 0.2201 0.7500 0.6250 1
```

The following is a computed X-ray powder pattern of Mg14SiSb. It was derived from a cell relaxed with PBE, using λ = 1.5418 Å (Cu Kα).

Most intense lines, 10 to 80 degrees two-theta, by angle:
(hkl), Position (°2θ), I_rel
1 1 1, 18.1, 24
0 2 2, 32.1, 27
0 0 4, 33.3, 18
4 0 0, 35.2, 37
2 2 2, 36.7, 100
2 0 4, 37.9, 46
4 2 2, 48.4, 16
0 2 6, 58.8, 16
6 2 2, 64.2, 18
4 2 6, 70.4, 18

```
data_Mg14SiSb
_cell_length_a 10.1921
_cell_length_b 6.5285
_cell_length_c 10.7447
_cell_angle_alpha 90.00
_cell_angle_beta 90.00
_cell_angle_gamma 90.00
_space_group_name_H-M_alt 'A m m 2'
_space_group_IT_number 38
loop_
_space_group_symop_operation_xyz
'x,y,z'
'-x,-y,z'
'-x,y,z'
'x,-y,z'
'x,y+1/2,z+1/2'
'-x,-y+1/2,z+1/2'
'-x,y+1/2,z+1/2'
'x,-y+1/2,z+1/2'
loop_
_atom_site_label
_atom_site_fract_x
_atom_site_fract_y
_atom_site_fract_z
_atom_site_occupancy
Mg1 0.0000 0.0000 0.0000 1
Mg2 0.0000 0.0000 0.4997 1
Mg3 0.0000 0.2495 0.2513 1
Mg4 0.2479 0.0000 0.6693 1
Mg5 0.2542 0.0000 0.1664 1
Mg6 0.2537 0.2451 0.9201 1
Mg7 0.5000 0.2499 0.2502 1
Si1 0.5000 0.0000 0.0045 1
Sb1 0.5000 0.0000 0.5039 1
```

The following is a computed X-ray powder pattern of Mg14SiSb. It was derived from a cell relaxed with PBE, using λ = 1.5418 Å (Cu Kα).

Most intense lines, 10 to 80 degrees two-theta, by angle:
(hkl), Position (°2θ), I_rel
1 0 0, 16.2, 19
1 0 1, 18.4, 24
1 0 2, 23.8, 16
2 0 0, 32.7, 26
0 0 4, 35.1, 26
2 0 2, 37.2, 100
2 0 4, 48.7, 17
2 2 0, 58.3, 17
2 0 6, 64.4, 19
2 2 4, 69.9, 19

```
data_Mg14SiSb
_cell_length_a 6.3303
_cell_length_b 6.3303
_cell_length_c 10.2194
_cell_angle_alpha 90.00
_cell_angle_beta 90.00
_cell_angle_gamma 120.00
_space_group_name_H-M_alt 'P -6 m 2'
_space_group_IT_number 187
_space_group_name_Hall 'P -6 2'
loop_
_atom_site_label
_atom_site_fract_x
_atom_site_fract_y
_atom_site_fract_z
_atom_site_occupancy
Mg1 0.0000 0.0000 0.2493 1
Mg2 0.3325 0.1662 0.0000 1
Mg3 0.3319 0.1660 0.5000 1
Mg4 0.5009 0.0017 0.2556 1
Si1 0.3333 0.6667 0.5000 1
Sb1 0.3333 0.6667 0.0000 1
```

The following is a computed X-ray powder pattern of Sm3Mg21Sb16. It was derived from a cell relaxed with PBE, using λ = 1.5418 Å (Cu Kα).

Most intense lines, 10 to 80 degrees two-theta, by angle:
(hkl), Position (°2θ), I_rel
0 1 8, 25.2, 100
0 1 16, 33.1, 62
1 1 0, 38.7, 60
1 0 24, 43.5, 36
1 1 16, 46.3, 15
2 0 8, 46.7, 19
2 0 16, 51.8, 17
0 2 24, 59.6, 16
1 2 8, 62.2, 16
1 2 16, 66.5, 16

```
data_Sm3Mg21Sb16
_cell_length_a 4.6573
_cell_length_b 4.6573
_cell_length_c 58.3038
_cell_angle_alpha 90.00
_cell_angle_beta 90.00
_cell_angle_gamma 120.00
_space_group_name_H-M_alt 'P -3 m 1'
_space_group_IT_number 164
_space_group_name_Hall '-P 3 2"'
loop_
_atom_site_label
_atom_site_fract_x
_atom_site_fract_y
_atom_site_fract_z
_atom_site_occupancy
Sm1 0.0000 0.0000 0.0000 1
Sm2 0.0000 0.0000 0.2500 1
Mg1 0.0000 0.0000 0.1250 1
Mg2 0.0000 0.0000 0.3755 1
Mg3 0.0000 0.0000 0.5000 1
Mg4 0.3333 0.6667 0.0819 1
Mg5 0.3333 0.6667 0.2022 1
Mg6 0.3333 0.6667 0.3319 1
Mg7 0.3333 0.6667 0.4527 1
Mg8 0.3333 0.6667 0.5809 1
Mg9 0.3333 0.6667 0.7022 1
Mg10 0.3333 0.6667 0.8320 1
Mg11 0.3333 0.6667 0.9522 1
Sb1 0.3333 0.6667 0.0310 1
Sb2 0.3333 0.6667 0.1524 1
Sb3 0.3333 0.6667 0.2808 1
Sb4 0.3333 0.6667 0.4017 1
Sb5 0.3333 0.6667 0.5300 1
Sb6 0.3333 0.6667 0.6529 1
Sb7 0.3333 0.6667 0.7810 1
Sb8 0.3333 0.6667 0.9024 1
```